[1]
Structure and computed XRD peak list of Sc12Ni6Ag (a crystal structure in Alexandria, relaxed with PBE; λ = 1.5418 Å (Cu Kα)).

Largest 6 diffraction maxima, by angle, 2θ = 5–70°:
19.7 deg, intensity 28, hkl 2 0 0
34.5 deg, intensity 19, hkl 2 2 2
37.3 deg, intensity 100, hkl 3 2 1
42.5 deg, intensity 16, hkl 4 1 1
51.7 deg, intensity 30, hkl 4 1 3
63.6 deg, intensity 17, hkl 5 3 2

Crystal structure
a b c (Å): 9.0157 9.0157 9.0157
angles (deg): 90.00 90.00 90.00
Space group Im-3 (No. 204)
Inequivalent atoms, fractional coordinates:
Sc: 0.0000 0.1862 0.2964
Ni: 0.0000 0.3679 0.5000
Ag: 0.0000 0.0000 0.0000

=====

[2]
Structure and computed XRD peak list of ScNi2Ag (a crystal structure in Alexandria, relaxed with PBE; λ = 1.5418 Å (Cu Kα)).

Largest 6 diffraction maxima, by angle, 2θ = 5–70°:
25.2 deg, intensity 19, hkl 1 1 1
40.3 deg, intensity 100, hkl 2 0 2
44.5 deg, intensity 37, hkl 2 2 0
51.4 deg, intensity 12, hkl 0 0 4
64.7 deg, intensity 6, hkl 0 4 0
64.8 deg, intensity 6, hkl 4 0 0

Crystal structure
a b c (Å): 5.7581 5.7667 7.1054
angles (deg): 90.00 90.00 90.00
Space group Fmmm (No. 69)
Inequivalent atoms, fractional coordinates:
Sc: 0.0000 0.0000 0.0000
Ni: 0.2500 0.2500 0.2500
Ag: 0.0000 0.0000 0.5000

=====

[3]
Structure and computed XRD peak list of Sc11Ni4Ag9 (a crystal structure in Alexandria, relaxed with PBE; λ = 1.5418 Å (Cu Kα)).

Largest 6 diffraction maxima, by angle, 2θ = 5–70°:
26.5 deg, intensity 19, hkl 0 6 0
26.7 deg, intensity 20, hkl 0 0 1
37.9 deg, intensity 56, hkl 4 6 0
38.0 deg, intensity 100, hkl 0 6 1
46.9 deg, intensity 15, hkl 4 6 1
68.8 deg, intensity 17, hkl 4 6 2

Crystal structure
a b c (Å): 13.4346 20.1767 3.3353
angles (deg): 90.00 90.00 90.00
Space group Cmmm (No. 65)
Inequivalent atoms, fractional coordinates:
Sc: 0.0000 0.0000 0.0000
Sc: 0.0000 0.1628 0.0000
Sc: 0.0000 0.3672 0.0000
Sc: 0.1998 0.5000 0.0000
Sc: 0.2491 0.1678 0.0000
Ni: 0.1464 0.4018 0.5000
Ag: 0.0000 0.5000 0.5000
Ag: 0.1095 0.2596 0.5000
Ag: 0.1394 0.0747 0.5000

=====

[4]
Structure and computed XRD peak list of Ni5AgSe8 (a crystal structure in Alexandria, relaxed with PBE; λ = 1.5418 Å (Cu Kα)).

Largest 6 diffraction maxima, by angle, 2θ = 5–70°:
24.6 deg, intensity 29, hkl 2 2 0
29.0 deg, intensity 53, hkl 3 1 1
30.3 deg, intensity 35, hkl 2 2 2
35.1 deg, intensity 67, hkl 4 0 0
46.2 deg, intensity 49, hkl 5 1 1
50.5 deg, intensity 100, hkl 4 4 0

Crystal structure
a b c (Å): 10.2186 10.2186 10.2186
angles (deg): 90.00 90.00 90.00
Space group F-43m (No. 216)
Inequivalent atoms, fractional coordinates:
Ni: 0.0000 0.0000 0.0000
Ni: 0.1258 0.1258 0.3742
Ag: 0.2500 0.2500 0.7500
Se: 0.1079 0.1079 0.6079
Se: 0.1345 0.1345 0.1345

=====

[5]
Structure and computed XRD peak list of NiAgSe3 (a crystal structure in Alexandria, relaxed with PBE; λ = 1.5418 Å (Cu Kα)).

Largest 6 diffraction maxima, by angle, 2θ = 5–70°:
22.4 deg, intensity 48, hkl 0 1 1
30.8 deg, intensity 72, hkl 1 1 -2
31.9 deg, intensity 44, hkl 2 1 -1
43.5 deg, intensity 100, hkl 1 2 -2
43.8 deg, intensity 35, hkl 0 0 3
46.4 deg, intensity 38, hkl 3 0 -3

Crystal structure
a b c (Å): 6.6739 5.1668 7.0349
angles (deg): 90.00 118.26 90.00
Space group P2_1 (No. 4)
Inequivalent atoms, fractional coordinates:
Ni: 0.0173 0.0000 0.0347
Ag: 0.3380 0.9968 0.6761
Se: 0.0496 0.2999 0.3157
Se: 0.2664 0.6988 0.3150
Se: 0.3047 0.2495 0.9992

=====

[6]
Structure and computed XRD peak list of TlNiAgSe2 (a crystal structure in Alexandria, relaxed with PBE; λ = 1.5418 Å (Cu Kα)).

Largest 6 diffraction maxima, by angle, 2θ = 5–70°:
28.8 deg, intensity 100, hkl 1 3 1
31.5 deg, intensity 36, hkl 2 0 0
33.8 deg, intensity 49, hkl 0 2 2
38.2 deg, intensity 33, hkl 1 5 1
43.4 deg, intensity 29, hkl 2 4 1
49.4 deg, intensity 25, hkl 0 6 2

Crystal structure
a b c (Å): 5.6789 14.5590 5.6912
angles (deg): 90.00 90.00 90.00
Space group Cmme (No. 67)
Inequivalent atoms, fractional coordinates:
Tl: 0.0000 0.2500 0.2191
Ni: 0.2500 0.0000 0.5000
Ag: 0.0000 0.0000 0.0000
Se: 0.0000 0.1147 0.6648